Starting from a crystal structure in OQMD, relaxed with GGA-PBE, the powder X-ray diffraction pattern of CuAg was calculated for Cu Ka.
Kinematic intensities with the Lorentz-polarization factor, no thermal factor.

Structure:
Cell: 14.533 2.792 7.546 Å, 90.00 105.00 90.00°
Space group Cm (No. 8)
Inequivalent atoms, fractional coordinates:
Cu  0.000  0.000  0.000 x2
Cu  0.002  0.000  0.505 x2
Cu  0.091  0.500  0.808 x2
Cu  0.183  0.000  0.076 x2
Cu  0.416  0.000  0.214 x2
Ag  0.099  0.500  0.296 x2
Ag  0.197  0.000  0.620 x2
Ag  0.300  0.500  0.369 x2
Ag  0.304  0.500  0.939 x2
Ag  0.402  0.000  0.700 x2

The 6 most intense peaks (5° ≤ 2θ ≤ 70°), low angle first:
40.03 deg, intensity 95.9, hkl 6 0 -2
40.18 deg, intensity 100.0, hkl 1 1 -2
45.84 deg, intensity 67.7, hkl 5 1 0
48.24 deg, intensity 24.1, hkl 2 0 -4
67.05 deg, intensity 10.9, hkl 0 2 0
68.74 deg, intensity 29.6, hkl 7 1 -4